Structure and computed PXRD pattern of RbLiZn2F8 (a structure optimized by DFT (PBE); CuKα).

Atomic structure:
```
RbLiZn2F8
1.0
4.654 0.000 0.000
0.473 4.710 0.000
0.093 0.609 8.413
Rb Li Zn F
1 1 2 8
direct
0.000 0.000 0.000
0.000 0.000 0.500
0.497 0.521 0.321
0.503 0.479 0.679
0.169 0.787 0.318
0.205 0.774 0.695
0.323 0.297 0.492
0.425 0.338 0.886
0.575 0.662 0.114
0.677 0.703 0.508
0.795 0.226 0.305
0.831 0.213 0.682
```

Largest 6 diffraction maxima, in order of falling intensity, 2θ from 15° to 90°:
Position (°2θ)	intensity
25.64	1000
28.37	572
20.98	555
21.90	521
31.91	368
42.55	345



Structure and computed PXRD pattern of LiReF6 (a structure optimized by DFT (PBE); CuKα).

Atomic structure:
```
LiReF6
1.0
2.628 1.517 4.622
-2.628 1.517 4.622
0.000 -3.035 4.622
Li Re F
1 1 6
direct
0.000 0.000 0.000
0.500 0.500 0.500
0.158 0.741 0.359
0.259 0.641 0.842
0.359 0.158 0.741
0.641 0.842 0.259
0.741 0.359 0.158
0.842 0.259 0.641
```

Largest 6 diffraction maxima, in order of falling intensity, 2θ from 15° to 90°:
Position (°2θ)	intensity
23.38	1000
20.53	996
39.44	422
19.20	392
52.74	267
32.46	256